Structure and simulated XRD peak list of Er3Np (a DFT-relaxed cell (PBE, the Materials Project); Cu Kα).

a b c (Å): 4.949 4.949 4.949
angles (deg): 90.00 90.00 90.00
Space group Pm-3m (No. 221)
Unique sites:
Er 0.000 0.000 0.500 (multiplicity 3)
Np 0.500 0.500 0.500 (multiplicity 1)

The 10 most intense peaks (10 to 90 degrees two-theta), sorted by position:
2θ/deg	d/Å	I/Imax
17.92	4.949	2
25.45	3.499	2
31.31	2.857	100
36.31	2.474	51
52.29	1.750	36
62.22	1.492	43
65.32	1.429	12
77.09	1.237	6
85.54	1.135	18
88.32	1.107	17